1.
Ti6Ga2Cu: computed X-ray diffraction stick pattern (Cu Kα, 1.54184 Å), based on the GGA-PBE geometry in Alexandria.

Largest 12 diffraction maxima, by intensity, 2θ = 10–90°:
40.40°, intensity 1000, (2 0 1); 42.54°, intensity 934, (3 0 0); 37.74°, intensity 923, (1 1 1); 47.64°, intensity 546, (2 1 1); 71.16°, intensity 413, (3 2 1); 37.32°, intensity 413, (2 1 0); 75.46°, intensity 304, (3 0 2); 24.18°, intensity 255, (1 1 0); 59.06°, intensity 187, (0 0 2); 31.86°, intensity 181, (1 0 1); 81.52°, intensity 137, (5 0 1); 67.30°, intensity 120, (4 1 0)

Structural model:
```
data_Ti6Ga2Cu
_chemical_formula_sum 'Ti6 Ga2 Cu1'
_cell_length_a 7.3614
_cell_length_b 7.3614
_cell_length_c 3.1285
_cell_angle_alpha 90.00
_cell_angle_beta 90.00
_cell_angle_gamma 120.00
_space_group_name_H-M_alt 'P -6 2 m'
_space_group_IT_number 189
_space_group_name_Hall 'P -6 -2'
loop_
_atom_site_label
_atom_site_type_symbol
_atom_site_fract_x
_atom_site_fract_y
_atom_site_fract_z
Ti1 Ti 0.0000 0.2685 0.0000
Ti2 Ti 0.0000 0.6052 0.5000
Ga1 Ga 0.3333 0.6667 0.0000
Cu1 Cu 0.0000 0.0000 0.5000
```


2.
TiGaCu: computed X-ray diffraction stick pattern (Cu Kα, 1.54184 Å), based on the GGA-PBE geometry in Alexandria.

Largest 12 diffraction maxima, by intensity, 2θ = 10–90°:
40.32°, intensity 1000, (1 1 1); 45.95°, intensity 170, (0 2 0); 46.82°, intensity 160, (2 0 -1); 47.90°, intensity 145, (0 0 3); 81.20°, intensity 113, (1 3 1); 82.46°, intensity 109, (3 1 0); 67.69°, intensity 98, (2 2 -1); 84.07°, intensity 98, (1 1 4); 87.13°, intensity 93, (2 2 2); 68.55°, intensity 92, (0 2 3); 69.22°, intensity 89, (2 0 2); 15.55°, intensity 63, (0 0 1)

Structural model:
```
data_TiGaCu
_chemical_formula_sum 'Ti2 Ga2 Cu2'
_cell_length_a 3.881
_cell_length_b 3.950
_cell_length_c 6.016
_cell_angle_alpha 90.00
_cell_angle_beta 108.75
_cell_angle_gamma 90.00
_space_group_name_H-M_alt 'P 1 21/m 1'
_space_group_IT_number 11
loop_
_space_group_symop_operation_xyz
'x,y,z'
'-x,-y,-z'
'-x,y+1/2,-z'
'x,-y+1/2,z'
loop_
_atom_site_label
_atom_site_type_symbol
_atom_site_fract_x
_atom_site_fract_y
_atom_site_fract_z
Ti1 Ti 0.249 0.250 0.497
Ga1 Ga 0.419 0.750 0.840
Cu1 Cu 0.078 0.750 0.154
```


3.
Ti2Ga4Cu3: computed X-ray diffraction stick pattern (Cu Kα, 1.54184 Å), based on the GGA-PBE geometry in Alexandria.

Largest 12 diffraction maxima, by intensity, 2θ = 10–90°:
42.79°, intensity 1000, (2 0 2); 38.00°, intensity 595, (1 5 1); 45.91°, intensity 537, (0 6 2); 38.59°, intensity 396, (2 2 1); 40.23°, intensity 300, (0 2 3); 76.11°, intensity 299, (2 6 4); 51.74°, intensity 281, (2 6 0); 21.93°, intensity 239, (1 1 1); 42.43°, intensity 201, (1 1 3); 71.67°, intensity 165, (4 0 0); 51.62°, intensity 164, (0 0 4); 39.92°, intensity 147, (0 6 1)

Structural model:
```
data_Ti2Ga4Cu3
_chemical_formula_sum 'Ti8 Ga16 Cu12'
_cell_length_a 5.267
_cell_length_b 14.296
_cell_length_c 7.082
_cell_angle_alpha 90.00
_cell_angle_beta 90.00
_cell_angle_gamma 90.00
_space_group_name_H-M_alt 'C m c e'
_space_group_IT_number 64
_space_group_name_Hall '-C 2ac 2'
loop_
_atom_site_label
_atom_site_type_symbol
_atom_site_fract_x
_atom_site_fract_y
_atom_site_fract_z
Ti1 Ti 0.000 0.096 0.106
Ga1 Ga 0.000 0.173 0.476
Ga2 Ga 0.250 0.064 0.750
Cu1 Cu 0.000 0.000 0.500
Cu2 Cu 0.250 0.238 0.750
```


4.
TiGa3Cu: computed X-ray diffraction stick pattern (Cu Kα, 1.54184 Å), based on the GGA-PBE geometry in Alexandria.

Largest 12 diffraction maxima, by intensity, 2θ = 10–90°:
38.99°, intensity 1000, (1 2 1); 38.73°, intensity 550, (1 1 2); 45.92°, intensity 360, (2 0 0); 39.85°, intensity 288, (0 2 2); 46.24°, intensity 239, (1 2 2); 42.02°, intensity 213, (0 0 3); 48.83°, intensity 196, (1 3 0); 48.18°, intensity 173, (1 0 3); 80.30°, intensity 159, (3 2 1); 62.39°, intensity 149, (2 2 2); 80.07°, intensity 138, (2 3 3); 85.89°, intensity 127, (1 5 2)

Structural model:
```
data_TiGa3Cu
_chemical_formula_sum 'Ti2 Ga6 Cu2'
_cell_length_a 3.953
_cell_length_b 6.346
_cell_length_c 6.451
_cell_angle_alpha 90.00
_cell_angle_beta 90.00
_cell_angle_gamma 90.00
_space_group_name_H-M_alt 'P m m n'
_space_group_IT_number 59
loop_
_space_group_symop_operation_xyz
'x,y,z'
'-x,-y,-z'
'-x+1/2,-y+1/2,z'
'x+1/2,y+1/2,-z'
'x+1/2,-y,-z'
'-x+1/2,y,z'
'-x,y+1/2,-z'
'x,-y+1/2,z'
loop_
_atom_site_label
_atom_site_type_symbol
_atom_site_fract_x
_atom_site_fract_y
_atom_site_fract_z
Ti1 Ti 0.250 0.250 0.198
Ga1 Ga 0.250 0.038 0.789
Ga2 Ga 0.250 0.750 0.482
Cu1 Cu 0.250 0.750 0.099
```


5.
Ti4Ga5Cu2: computed X-ray diffraction stick pattern (Cu Kα, 1.54184 Å), based on the GGA-PBE geometry in Alexandria.

Largest 12 diffraction maxima, by intensity, 2θ = 10–90°:
42.14°, intensity 1000, (2 0 3); 40.68°, intensity 855, (3 0 -1); 39.66°, intensity 347, (1 1 -2); 31.66°, intensity 281, (0 1 0); 53.66°, intensity 259, (1 1 -4); 81.59°, intensity 258, (1 2 -4); 43.47°, intensity 238, (2 1 1); 41.69°, intensity 221, (2 1 0); 45.81°, intensity 188, (2 1 -2); 37.79°, intensity 176, (0 1 2); 66.01°, intensity 150, (3 1 -4); 66.12°, intensity 147, (0 2 0)

Structural model:
```
data_Ti4Ga5Cu2
_chemical_formula_sum 'Ti4 Ga5 Cu2'
_cell_length_a 6.763
_cell_length_b 2.826
_cell_length_c 8.858
_cell_angle_alpha 90.00
_cell_angle_beta 94.09
_cell_angle_gamma 90.00
_space_group_name_H-M_alt 'P 1 2/m 1'
_space_group_IT_number 10
loop_
_space_group_symop_operation_xyz
'x,y,z'
'-x,-y,-z'
'-x,y,-z'
'x,-y,z'
loop_
_atom_site_label
_atom_site_type_symbol
_atom_site_fract_x
_atom_site_fract_y
_atom_site_fract_z
Ti1 Ti 0.164 0.000 0.390
Ti2 Ti 0.283 0.000 0.944
Ga1 Ga 0.188 0.500 0.668
Ga2 Ga 0.426 0.500 0.200
Ga3 Ga 0.500 0.500 0.500
Cu1 Cu 0.057 0.500 0.133
```


6.
Tm12GaCu6: computed X-ray diffraction stick pattern (Cu Kα, 1.54184 Å), based on the GGA-PBE geometry in Alexandria.

Largest 12 diffraction maxima, by intensity, 2θ = 10–90°:
34.80°, intensity 1000, (3 2 1); 32.14°, intensity 445, (2 2 2); 55.55°, intensity 353, (5 0 3); 59.03°, intensity 347, (5 3 2); 29.28°, intensity 339, (3 1 0); 37.28°, intensity 193, (4 0 0); 68.81°, intensity 184, (5 4 3); 86.86°, intensity 163, (7 5 0); 48.09°, intensity 153, (5 1 0); 26.13°, intensity 128, (2 2 0); 85.39°, intensity 126, (8 2 2); 39.64°, intensity 126, (3 3 0)

Structural model:
```
data_Tm12GaCu6
_chemical_formula_sum 'Tm24 Ga2 Cu12'
_cell_length_a 9.647
_cell_length_b 9.647
_cell_length_c 9.647
_cell_angle_alpha 90.00
_cell_angle_beta 90.00
_cell_angle_gamma 90.00
_space_group_name_H-M_alt 'I m -3'
_space_group_IT_number 204
_space_group_name_Hall '-I 2 2 3'
loop_
_atom_site_label
_atom_site_type_symbol
_atom_site_fract_x
_atom_site_fract_y
_atom_site_fract_z
Tm1 Tm 0.000 0.188 0.294
Ga1 Ga 0.000 0.000 0.000
Cu1 Cu 0.000 0.374 0.500
```


7.
TmGa3Cu2: computed X-ray diffraction stick pattern (Cu Kα, 1.54184 Å), based on the GGA-PBE geometry in Alexandria.

Largest 12 diffraction maxima, by intensity, 2θ = 10–90°:
35.80°, intensity 1000, (1 1 -3); 44.88°, intensity 291, (0 2 0); 45.50°, intensity 206, (6 0 -4); 36.44°, intensity 202, (3 1 2); 31.53°, intensity 185, (3 1 -2); 34.54°, intensity 171, (6 0 0); 65.83°, intensity 126, (6 2 -4); 30.98°, intensity 122, (3 1 1); 43.15°, intensity 116, (2 0 4); 46.60°, intensity 106, (7 1 0); 76.81°, intensity 104, (1 3 -3); 44.76°, intensity 102, (5 1 2)

Structural model:
```
data_TmGa3Cu2
_chemical_formula_sum 'Tm6 Ga18 Cu12'
_cell_length_a 16.067
_cell_length_b 4.039
_cell_length_c 9.613
_cell_angle_alpha 90.00
_cell_angle_beta 104.14
_cell_angle_gamma 90.00
_space_group_name_H-M_alt 'C 1 2/m 1'
_space_group_IT_number 12
loop_
_space_group_symop_operation_xyz
'x,y,z'
'-x,-y,-z'
'-x,y,-z'
'x,-y,z'
'x+1/2,y+1/2,z'
'-x+1/2,-y+1/2,-z'
'-x+1/2,y+1/2,-z'
'x+1/2,-y+1/2,z'
loop_
_atom_site_label
_atom_site_type_symbol
_atom_site_fract_x
_atom_site_fract_y
_atom_site_fract_z
Tm1 Tm 0.000 0.000 0.000
Tm2 Tm 0.154 0.000 0.706
Ga1 Ga 0.000 0.500 0.500
Ga2 Ga 0.050 0.000 0.355
Ga3 Ga 0.134 0.500 0.190
Ga4 Ga 0.147 0.500 0.936
Ga5 Ga 0.220 0.000 0.362
Cu1 Cu 0.012 0.500 0.767
Cu2 Cu 0.147 0.500 0.456
Cu3 Cu 0.205 0.000 0.086
```


8.
Tm8GaCu2: computed X-ray diffraction stick pattern (Cu Kα, 1.54184 Å), based on the GGA-PBE geometry in Alexandria.

Largest 12 diffraction maxima, by intensity, 2θ = 10–90°:
32.25°, intensity 1000, (2 0 1); 34.84°, intensity 800, (2 4 0); 33.36°, intensity 456, (3 1 -1); 38.32°, intensity 394, (1 5 -1); 31.00°, intensity 233, (1 3 1); 60.04°, intensity 227, (1 1 3); 27.34°, intensity 160, (2 2 -1); 38.60°, intensity 155, (2 2 -2); 55.76°, intensity 141, (2 4 2); 65.37°, intensity 138, (2 8 1); 72.63°, intensity 123, (3 9 -1); 39.03°, intensity 115, (3 3 0)

Structural model:
```
data_Tm8GaCu2
_chemical_formula_sum 'Tm16 Ga2 Cu4'
_cell_length_a 8.486
_cell_length_b 13.314
_cell_length_c 5.258
_cell_angle_alpha 90.00
_cell_angle_beta 107.23
_cell_angle_gamma 90.00
_space_group_name_H-M_alt 'C 1 m 1'
_space_group_IT_number 8
loop_
_space_group_symop_operation_xyz
'x,y,z'
'x,-y,z'
'x+1/2,y+1/2,z'
'x+1/2,-y+1/2,z'
loop_
_atom_site_label
_atom_site_type_symbol
_atom_site_fract_x
_atom_site_fract_y
_atom_site_fract_z
Tm1 Tm 0.000 0.000 0.000
Tm2 Tm 0.094 0.376 0.789
Tm3 Tm 0.177 0.124 0.595
Tm4 Tm 0.270 0.500 0.384
Tm5 Tm 0.385 0.231 0.192
Ga1 Ga 0.385 0.000 0.195
Cu1 Cu 0.385 0.306 0.692
```